1.
For Ho4ErTh3, a structure optimized by DFT (PBE) gives the simulated powder X-ray diffraction pattern in this record (Cu Ka).
Lines closer than 0.1° are merged.

Most intense lines, 2θ = 10–90°, in order of rising 2θ:
hkl 0 2 1, 28.9 deg, I 24.3
hkl 4 0 0, 31.1 deg, I 39.2
hkl 2 0 2, 32.8 deg, I 52.0
hkl 2 2 1, 32.9 deg, I 100.0
hkl 4 2 1, 42.9 deg, I 24.6
hkl 0 2 3, 51.0 deg, I 19.8
hkl 6 0 2, 56.4 deg, I 33.3
hkl 4 2 3, 60.9 deg, I 23.3
hkl 4 4 0, 61.1 deg, I 11.6
hkl 2 4 2, 62.1 deg, I 16.6

Structural model:
abc: 11.5149 7.1348 6.2128
angles: 90.00 90.00 90.00
Space group Pmn2_1 (No. 31)
Unique sites:
Ho 0.0000 0.1270 0.0000 (multiplicity 2)
Ho 0.0000 0.8678 0.5023 (multiplicity 2)
Ho 0.2490 0.1279 0.3421 (multiplicity 4)
Er 0.0000 0.3759 0.5107 (multiplicity 2)
Th 0.0000 0.6237 0.0088 (multiplicity 2)
Th 0.2505 0.3845 0.8325 (multiplicity 4)



2.
For SrY2Br, a structure optimized by DFT (PBE) gives the simulated powder X-ray diffraction pattern in this record (Cu Ka).
Lines closer than 0.1° are merged.

Most intense lines, 2θ = 10–90°, in order of rising 2θ:
hkl 0 1 3, 26.0 deg, I 23.8
hkl 0 0 4, 27.0 deg, I 37.4
hkl 1 1 1, 30.2 deg, I 100.0
hkl 0 2 0, 32.7 deg, I 42.0
hkl 1 1 3, 35.9 deg, I 48.0
hkl 1 0 4, 36.7 deg, I 20.7
hkl 0 2 4, 43.0 deg, I 20.8
hkl 1 1 5, 45.5 deg, I 14.4
hkl 2 0 0, 50.0 deg, I 29.2
hkl 1 3 1, 56.9 deg, I 15.9

Structural model:
abc: 3.6540 5.4699 13.1944
angles: 90.00 90.00 90.00
Space group Amm2 (No. 38)
Unique sites:
Sr 0.0000 0.0000 0.0000 (multiplicity 2)
Y 0.0000 0.0000 0.7195 (multiplicity 2)
Y 0.5000 0.0000 0.3008 (multiplicity 2)
Br 0.5000 0.0000 0.5239 (multiplicity 2)



3.
For TbTm4TlS8, a structure optimized by DFT (PBE) gives the simulated powder X-ray diffraction pattern in this record (Cu Ka).
Lines closer than 0.1° are merged.

Most intense lines, 2θ = 10–90°, in order of rising 2θ:
hkl 1 0 4, 21.7 deg, I 22.0
hkl 1 1 0, 21.9 deg, I 19.2
hkl 0 1 5, 25.5 deg, I 31.6
hkl 0 2 1, 25.7 deg, I 100.0
hkl 0 2 4, 31.1 deg, I 18.2
hkl 1 2 5, 40.8 deg, I 23.4
hkl 0 3 3, 40.9 deg, I 20.4
hkl 2 0 8, 44.3 deg, I 35.7
hkl 2 2 0, 44.7 deg, I 35.2
hkl 4 1 3, 62.2 deg, I 16.1

Structural model:
abc: 8.1019 8.1019 20.1115
angles: 90.00 90.00 120.00
Space group R3m (No. 160, hexagonal axes)
Unique sites:
Tb 0.0000 0.0000 0.0000 (multiplicity 3)
Tm 0.0000 0.0000 0.6211 (multiplicity 3)
Tm 0.1721 0.3442 0.8275 (multiplicity 9)
Tl 0.0000 0.0000 0.3685 (multiplicity 3)
S 0.0000 0.0000 0.2277 (multiplicity 3)
S 0.0000 0.0000 0.7530 (multiplicity 3)
S 0.0418 0.5209 0.7528 (multiplicity 9)
S 0.1754 0.3509 0.5754 (multiplicity 9)